No. 1
This entry pairs a crystal structure of Pm3Hf with its simulated PXRD pattern. Radiation: Cu Kα (weighted mean of Kα1 and Kα2). Structure: a structure optimized by DFT (PBE).
Intensities are scaled so that the largest is 100.

Most intense lines, 2θ from 10° to 80°, sorted by position:
d (Å), 2theta, Rel. int.
4.973, 17.8, 1
3.516, 25.3, 1
2.871, 31.2, 100
2.486, 36.1, 51
1.758, 52.0, 36
1.499, 61.9, 42
1.435, 65.0, 12
1.243, 76.7, 6

Cell lengths 4.973, 4.973, 4.973 Å; angles 90.00, 90.00, 90.00 degrees
Positions (direct):
Pm1 0.000 0.000 0.500
Pm2 0.000 0.500 0.000
Pm3 0.500 0.000 0.000
Hf1 0.500 0.500 0.500

No. 2
This entry pairs a crystal structure of CuS4N with its simulated PXRD pattern. Radiation: Cu Kα (weighted mean of Kα1 and Kα2). Structure: a structure optimized by DFT (PBE).
Intensities are scaled so that the largest is 100.

Most intense lines, 2θ from 10° to 80°, sorted by position:
d (Å), 2theta, Rel. int.
7.053, 12.6, 92
6.263, 14.1, 36
5.049, 17.6, 100
3.305, 27.0, 29
3.132, 28.5, 31
2.923, 30.6, 25
2.562, 35.0, 20
2.450, 36.7, 42

Cell lengths 5.227, 8.534, 12.526 Å; angles 90.00, 90.00, 90.00 degrees
Positions (direct):
Cu1 0.022 0.142 0.430
Cu2 0.478 0.858 0.930
Cu3 0.522 0.358 0.570
Cu4 0.978 0.642 0.070
S1 0.043 0.583 0.599
S2 0.124 0.700 0.901
S3 0.134 0.352 0.661
S4 0.167 0.900 0.402
S5 0.333 0.100 0.902
S6 0.366 0.648 0.161
S7 0.376 0.300 0.401
S8 0.457 0.417 0.099
S9 0.543 0.917 0.401
S10 0.624 0.800 0.099
S11 0.634 0.148 0.339
S12 0.667 0.600 0.598
S13 0.833 0.400 0.098
S14 0.866 0.852 0.839
S15 0.876 0.200 0.599
S16 0.957 0.083 0.901
N1 0.156 0.066 0.160
N2 0.344 0.934 0.660
N3 0.656 0.434 0.840
N4 0.844 0.566 0.340

No. 3
This entry pairs a crystal structure of Ba2TbMgBiO6 with its simulated PXRD pattern. Radiation: Cu Kα (weighted mean of Kα1 and Kα2). Structure: a structure optimized by DFT (PBE).
Intensities are scaled so that the largest is 100.

Most intense lines, 2θ from 10° to 80°, sorted by position:
d (Å), 2theta, Rel. int.
4.531, 19.6, 17
3.542, 25.1, 32
3.181, 28.1, 40
3.141, 28.4, 100
2.883, 31.0, 50
2.266, 39.8, 19
2.232, 40.4, 26
1.829, 49.9, 17

Cell lengths 6.322, 6.322, 6.552 Å; angles 112.61, 112.61, 60.41 degrees
Positions (direct):
Ba1 0.000 0.000 0.000
Ba2 0.590 0.590 0.740
Tb1 0.347 0.347 0.062
Mg1 0.204 0.204 0.574
Bi1 0.784 0.784 0.398
O1 0.031 0.031 0.584
O2 0.103 0.548 0.757
O3 0.478 0.985 0.140
O4 0.548 0.103 0.757
O5 0.551 0.551 0.317
O6 0.985 0.478 0.140

No. 4
This entry pairs a crystal structure of CaCO3 with its simulated PXRD pattern. Radiation: Cu Kα (weighted mean of Kα1 and Kα2). Structure: a structure optimized by DFT (PBE).
Intensities are scaled so that the largest is 100.

Most intense lines, 2θ from 10° to 80°, sorted by position:
d (Å), 2theta, Rel. int.
3.076, 29.0, 100
2.526, 35.5, 14
2.314, 38.9, 21
2.121, 42.6, 16
1.939, 46.9, 22
1.900, 47.9, 23
1.624, 56.7, 12
1.458, 63.8, 8

Cell lengths 6.463, 6.463, 6.463 Å; angles 46.00, 46.00, 46.00 degrees
Positions (direct):
Ca1 0.000 0.000 0.000
Ca2 0.500 0.500 0.500
C1 0.250 0.250 0.250
C2 0.750 0.750 0.750
O1 0.007 0.750 0.493
O2 0.250 0.507 0.993
O3 0.493 0.007 0.750
O4 0.507 0.993 0.250
O5 0.750 0.493 0.007
O6 0.993 0.250 0.507